No. 1
This entry pairs a crystal structure of Rb2ZnAuI6 with its calculated powder X-ray diffraction pattern. Radiation: Cu Kα, 1.54184 Å. Structure: a DFT-relaxed cell (GGA-PBE, Alexandria).

Principal peaks in the range 2θ = 10–90°, most intense first:
- 30.05 deg, d 2.974, intensity 100
- 25.89 deg, d 3.441, intensity 83
- 14.86 deg, d 5.961, intensity 74
- 42.88 deg, d 2.109, intensity 63
- 29.87 deg, d 2.992, intensity 44
- 43.01 deg, d 2.103, intensity 36
- 53.24 deg, d 1.721, intensity 32
- 70.80 deg, d 1.331, intensity 27
- 24.70 deg, d 3.604, intensity 27
- 33.67 deg, d 2.662, intensity 25

Crystal structure
```
Rb2ZnAuI6
1.0
-4.2062 4.2062 5.9835
4.2062 -4.2062 5.9835
4.2062 4.2062 -5.9835
Rb Zn Au I
2 1 1 6
direct
0.2500 0.7500 0.5000 Rb
0.7500 0.2500 0.5000 Rb
0.0000 0.0000 0.0000 Zn
0.5000 0.5000 0.0000 Au
0.2135 0.2135 0.0000 I
0.2664 0.2664 0.5328 I
0.2664 0.7336 0.0000 I
0.7336 0.2664 0.0000 I
0.7336 0.7336 0.4672 I
0.7865 0.7865 0.0000 I
```



No. 2
This entry pairs a crystal structure of Na2PmIrO6 with its calculated powder X-ray diffraction pattern. Radiation: Cu Kα, 1.54184 Å. Structure: a DFT-relaxed cell (GGA-PBE, Alexandria).

Principal peaks in the range 2θ = 10–90°, most intense first:
- 21.79 deg, d 4.079, intensity 100
- 30.89 deg, d 2.895, intensity 36
- 31.11 deg, d 2.875, intensity 35
- 44.42 deg, d 2.040, intensity 29
- 30.64 deg, d 2.917, intensity 19
- 31.38 deg, d 2.851, intensity 16
- 49.84 deg, d 1.830, intensity 15
- 50.14 deg, d 1.819, intensity 15
- 55.83 deg, d 1.647, intensity 9
- 49.52 deg, d 1.841, intensity 9

Crystal structure
```
Na2PmIrO6
1.0
5.7016 0.0000 0.0000
0.0000 5.8350 0.0000
-5.6222 0.0000 8.1626
Na Pm Ir O
4 2 2 12
direct
0.2404 0.0409 0.2506 Na
0.2404 0.4591 0.7506 Na
0.7596 0.5409 0.2494 Na
0.7596 0.9591 0.7494 Na
0.5000 0.0000 0.0000 Pm
0.5000 0.5000 0.5000 Pm
0.0000 0.0000 0.5000 Ir
0.0000 0.5000 0.0000 Ir
0.1205 0.2282 0.9465 O
0.1205 0.2718 0.4465 O
0.2259 0.6807 0.9533 O
0.2259 0.8193 0.4533 O
0.3180 0.0307 0.7240 O
0.3180 0.4693 0.2240 O
0.6820 0.5307 0.7760 O
0.6820 0.9693 0.2760 O
0.7741 0.1807 0.5467 O
0.7741 0.3193 0.0467 O
0.8795 0.7282 0.5535 O
0.8795 0.7718 0.0535 O
```



No. 3
This entry pairs a crystal structure of SbRh with its calculated powder X-ray diffraction pattern. Radiation: Cu Kα, 1.54184 Å. Structure: a DFT-relaxed cell (GGA-PBE, Alexandria).

Principal peaks in the range 2θ = 10–90°, most intense first:
- 34.12 deg, d 2.628, intensity 100
- 41.92 deg, d 2.155, intensity 46
- 46.97 deg, d 1.935, intensity 20
- 39.71 deg, d 2.270, intensity 18
- 33.73 deg, d 2.657, intensity 18
- 51.01 deg, d 1.790, intensity 16
- 45.55 deg, d 1.991, intensity 15
- 71.84 deg, d 1.314, intensity 11
- 51.76 deg, d 1.766, intensity 10
- 85.06 deg, d 1.140, intensity 9

Crystal structure
```
SbRh
1.0
6.0374 -1.7904 0.0000
6.0374 1.7904 0.0000
-1.4865 0.0000 5.1903
Sb Rh
3 3
direct
0.0000 0.0000 0.0000 Sb
0.3293 0.3293 0.2424 Sb
0.6707 0.6707 0.7576 Sb
0.0000 0.0000 0.5000 Rh
0.3379 0.3379 0.7355 Rh
0.6621 0.6621 0.2645 Rh
```



No. 4
This entry pairs a crystal structure of Sr2PdF6 with its calculated powder X-ray diffraction pattern. Radiation: Cu Kα, 1.54184 Å. Structure: a DFT-relaxed cell (GGA-PBE, Alexandria).

Principal peaks in the range 2θ = 10–90°, most intense first:
- 23.29 deg, d 3.819, intensity 100
- 44.70 deg, d 2.027, intensity 75
- 29.10 deg, d 3.069, intensity 74
- 56.79 deg, d 1.621, intensity 26
- 47.63 deg, d 1.909, intensity 19
- 54.78 deg, d 1.676, intensity 18
- 33.18 deg, d 2.700, intensity 17
- 53.67 deg, d 1.708, intensity 14
- 77.19 deg, d 1.236, intensity 12
- 67.38 deg, d 1.390, intensity 11

Crystal structure
```
Sr2PdF6
1.0
5.4002 0.0000 0.0000
0.0000 5.4002 0.0000
0.0000 0.0000 11.1885
Sr Pd F
4 2 12
direct
0.0000 0.0000 0.1654 Sr
0.0000 0.0000 0.8346 Sr
0.5000 0.5000 0.3346 Sr
0.5000 0.5000 0.6654 Sr
0.0000 0.0000 0.5000 Pd
0.5000 0.5000 0.0000 Pd
0.1842 0.1842 0.3439 F
0.1842 0.1842 0.6561 F
0.2100 0.2100 0.0000 F
0.2900 0.7100 0.5000 F
0.3158 0.6842 0.1561 F
0.3158 0.6842 0.8439 F
0.6842 0.3158 0.1561 F
0.6842 0.3158 0.8439 F
0.7100 0.2900 0.5000 F
0.7900 0.7900 0.0000 F
0.8158 0.8158 0.3439 F
0.8158 0.8158 0.6561 F
```



No. 5
This entry pairs a crystal structure of TbCd5Hg8 with its calculated powder X-ray diffraction pattern. Radiation: Cu Kα, 1.54184 Å. Structure: a DFT-relaxed cell (GGA-PBE, Alexandria).

Principal peaks in the range 2θ = 10–90°, most intense first:
- 31.84 deg, d 2.810, intensity 100
- 37.88 deg, d 2.375, intensity 92
- 50.30 deg, d 1.814, intensity 24
- 64.60 deg, d 1.443, intensity 20
- 24.53 deg, d 3.629, intensity 19
- 52.47 deg, d 1.744, intensity 12
- 68.38 deg, d 1.372, intensity 9
- 64.76 deg, d 1.440, intensity 9
- 66.47 deg, d 1.407, intensity 9
- 52.57 deg, d 1.741, intensity 9

Crystal structure
```
TbCd5Hg8
1.0
-4.4486 4.4486 4.4336
4.4486 -4.4486 4.4336
4.4486 4.4486 -4.4336
Tb Cd Hg
1 5 8
direct
0.0000 0.0000 0.0000 Tb
0.0899 0.4976 0.8642 Cd
0.2500 0.7500 0.5000 Cd
0.5024 0.3666 0.5923 Cd
0.6334 0.2257 0.1358 Cd
0.7743 0.9101 0.4077 Cd
0.0584 0.3024 0.4313 Hg
0.2472 0.1469 0.7672 Hg
0.3729 0.9416 0.2440 Hg
0.3797 0.4799 0.2328 Hg
0.5201 0.7528 0.8998 Hg
0.6976 0.1288 0.7560 Hg
0.8531 0.6203 0.1002 Hg
0.8712 0.6271 0.5687 Hg
```



No. 6
This entry pairs a crystal structure of KSb with its calculated powder X-ray diffraction pattern. Radiation: Cu Kα, 1.54184 Å. Structure: a DFT-relaxed cell (GGA-PBE, Alexandria).

Principal peaks in the range 2θ = 10–90°, most intense first:
- 12.67 deg, d 6.987, intensity 100
- 32.54 deg, d 2.752, intensity 62
- 15.75 deg, d 5.626, intensity 44
- 28.46 deg, d 3.136, intensity 43
- 43.85 deg, d 2.065, intensity 26
- 30.89 deg, d 2.895, intensity 26
- 23.64 deg, d 3.763, intensity 25
- 40.38 deg, d 2.234, intensity 25
- 31.26 deg, d 2.861, intensity 24
- 38.16 deg, d 2.358, intensity 21

Crystal structure
```
KSb
1.0
6.2730 0.0000 0.0000
0.0000 12.7240 0.0000
0.0000 0.0000 6.9866
K Sb
6 6
direct
0.2500 0.0727 0.0798 K
0.2500 0.4273 0.0798 K
0.2500 0.7500 0.4106 K
0.7500 0.2500 0.5894 K
0.7500 0.5727 0.9202 K
0.7500 0.9273 0.9202 K
0.2500 0.0357 0.5693 Sb
0.2500 0.2500 0.4197 Sb
0.2500 0.4643 0.5693 Sb
0.7500 0.5357 0.4307 Sb
0.7500 0.7500 0.5803 Sb
0.7500 0.9643 0.4307 Sb
```



No. 7
This entry pairs a crystal structure of PaNi2Au10 with its calculated powder X-ray diffraction pattern. Radiation: Cu Kα, 1.54184 Å. Structure: a DFT-relaxed cell (GGA-PBE, Alexandria).

Principal peaks in the range 2θ = 10–90°, most intense first:
- 39.58 deg, d 2.277, intensity 100
- 38.42 deg, d 2.343, intensity 95
- 33.08 deg, d 2.708, intensity 92
- 38.30 deg, d 2.350, intensity 79
- 42.34 deg, d 2.135, intensity 77
- 37.18 deg, d 2.418, intensity 73
- 43.81 deg, d 2.066, intensity 65
- 32.98 deg, d 2.716, intensity 51
- 69.41 deg, d 1.354, intensity 47
- 29.41 deg, d 3.037, intensity 40

Crystal structure
```
PaNi2Au10
1.0
0.0000 6.3762 6.9088
2.7161 0.0000 6.9088
2.7161 6.3762 0.0000
Pa Ni Au
1 2 10
direct
0.0000 0.0000 0.0000 Pa
0.0000 0.0000 0.5000 Ni
0.5000 0.5000 0.0000 Ni
0.0000 0.5000 0.0000 Au
0.0193 0.6683 0.3317 Au
0.2893 0.5090 0.4910 Au
0.3317 0.9807 0.0193 Au
0.4910 0.7107 0.2893 Au
0.5000 0.0000 0.5000 Au
0.5090 0.2893 0.7107 Au
0.6683 0.0193 0.9807 Au
0.7107 0.4910 0.5090 Au
0.9807 0.3317 0.6683 Au
```



No. 8
This entry pairs a crystal structure of Zn4GaCu7 with its calculated powder X-ray diffraction pattern. Radiation: Cu Kα, 1.54184 Å. Structure: a DFT-relaxed cell (GGA-PBE, Alexandria).

Principal peaks in the range 2θ = 10–90°, most intense first:
- 41.89 deg, d 2.156, intensity 100
- 43.64 deg, d 2.074, intensity 71
- 43.39 deg, d 2.086, intensity 68
- 45.52 deg, d 1.993, intensity 61
- 46.45 deg, d 1.955, intensity 54
- 44.66 deg, d 2.029, intensity 49
- 46.62 deg, d 1.948, intensity 42
- 40.54 deg, d 2.225, intensity 34
- 39.56 deg, d 2.278, intensity 21
- 86.92 deg, d 1.121, intensity 20

Crystal structure
```
Zn4GaCu7
1.0
4.6148 0.0000 0.0000
-0.1263 5.2008 0.0000
-1.4625 -0.1009 6.4694
Zn Ga Cu
4 1 7
direct
0.2036 0.2373 0.1611 Zn
0.2819 0.5039 0.8255 Zn
0.7181 0.4961 0.1745 Zn
0.7964 0.7627 0.8389 Zn
0.5000 0.0000 0.5000 Ga
0.9996 0.2482 0.5008 Cu
0.0004 0.7518 0.4992 Cu
0.2195 0.7390 0.1702 Cu
0.2893 0.0059 0.8353 Cu
0.5000 0.5000 0.5000 Cu
0.7107 0.9941 0.1647 Cu
0.7805 0.2610 0.8298 Cu
```